Record 1
Diffraction record for Sr4LaFe2Co3O15. The powder diffractogram is calculated, not measured: it uses a PBE+U-relaxed structure and CuKα.
Intensities are scaled so that the largest is 100.

Peak list (10 most intense, 2θ = 10–80°, in order of rising 2θ)
Position (°2θ)	Rel. int.
32.3	100
32.4	99
32.6	97
40.0	39
46.0	38
46.5	36
47.1	34
57.5	29
57.8	28
58.2	36

Structural model:
Lattice parameters (Å, degrees): 5.4884 6.7596 8.7865 74.16 72.11 89.53
Space group P-1 (No. 2)
Inequivalent atoms, fractional coordinates:
Sr: 0.1023 0.4002 0.2990 (multiplicity 2)
Sr: 0.3029 0.2001 0.9006 (multiplicity 2)
La: 0.5000 0.0000 0.5000 (multiplicity 1)
Fe: 0.2985 0.6985 0.9020 (multiplicity 2)
Co: 0.1030 0.9005 0.2988 (multiplicity 2)
Co: 0.5000 0.5000 0.5000 (multiplicity 1)
O: 0.0000 0.0000 0.5000 (multiplicity 1)
O: 0.0000 0.5000 0.0000 (multiplicity 1)
O: 0.0989 0.9151 0.7867 (multiplicity 2)
O: 0.1963 0.8043 0.0969 (multiplicity 2)
O: 0.2280 0.3082 0.5914 (multiplicity 2)
O: 0.2837 0.7132 0.3955 (multiplicity 2)
O: 0.3936 0.6115 0.6934 (multiplicity 2)
O: 0.4078 0.1006 0.2089 (multiplicity 2)
O: 0.5000 0.5000 0.0000 (multiplicity 1)

***

Record 2
Diffraction record for BaDyFe4O7. The powder diffractogram is calculated, not measured: it uses a PBE+U-relaxed structure and CuKα.
Intensities are scaled so that the largest is 100.

Peak list (10 most intense, 2θ = 10–80°, in order of rising 2θ)
Position (°2θ)	Rel. int.
16.9	10
27.7	58
32.7	100
34.2	19
49.1	25
52.3	35
57.3	38
64.8	11
67.5	12
78.7	13

Structural model:
Lattice parameters (Å, degrees): 9.0938 9.0938 9.0938 90.00 90.00 90.00
Space group F-43m (No. 216)
Inequivalent atoms, fractional coordinates:
Ba: 0.0000 0.0000 0.0000 (multiplicity 4)
Dy: 0.2500 0.2500 0.7500 (multiplicity 4)
Fe: 0.1282 0.1282 0.3718 (multiplicity 16)
O: 0.0000 0.0000 0.5000 (multiplicity 4)
O: 0.0019 0.2500 0.7500 (multiplicity 24)

***

Record 3
Diffraction record for Li5Nb2Fe5O12. The powder diffractogram is calculated, not measured: it uses a PBE+U-relaxed structure and CuKα.
Intensities are scaled so that the largest is 100.

Peak list (10 most intense, 2θ = 10–80°, in order of rising 2θ)
Position (°2θ)	Rel. int.
17.7	100
19.1	69
23.3	82
30.3	37
34.1	29
36.0	52
41.1	94
41.2	94
43.1	77
59.4	27

Structural model:
Lattice parameters (Å, degrees): 5.2096 5.3122 10.2516 84.06 77.77 60.82
Space group P1 (No. 1)
Inequivalent atoms, fractional coordinates:
Li: 0.0000 0.0000 0.0000 (multiplicity 1)
Li: 0.0929 0.3078 0.7557 (multiplicity 1)
Li: 0.3384 0.2995 0.0042 (multiplicity 1)
Li: 0.5010 0.9979 0.5138 (multiplicity 1)
Li: 0.8527 0.2991 0.5096 (multiplicity 1)
Nb: 0.4132 0.6519 0.7558 (multiplicity 1)
Nb: 0.9083 0.6662 0.2553 (multiplicity 1)
Fe: 0.1752 0.6447 0.5086 (multiplicity 1)
Fe: 0.2533 0.9700 0.2561 (multiplicity 1)
Fe: 0.6037 0.3012 0.2576 (multiplicity 1)
Fe: 0.6777 0.6355 0.0003 (multiplicity 1)
Fe: 0.7576 0.9842 0.7580 (multiplicity 1)
O: 0.0591 0.6428 0.8775 (multiplicity 1)
O: 0.1584 0.9616 0.6370 (multiplicity 1)
O: 0.1972 0.3320 0.3680 (multiplicity 1)
O: 0.3014 0.6509 0.1324 (multiplicity 1)
O: 0.3775 0.9558 0.8738 (multiplicity 1)
O: 0.4666 0.3379 0.6399 (multiplicity 1)
O: 0.5470 0.6489 0.3832 (multiplicity 1)
O: 0.6621 0.9555 0.1298 (multiplicity 1)
O: 0.6933 0.3259 0.8691 (multiplicity 1)
O: 0.7868 0.6571 0.6419 (multiplicity 1)
O: 0.8746 0.9656 0.3870 (multiplicity 1)
O: 0.9627 0.3237 0.1361 (multiplicity 1)

***

Record 4
Diffraction record for RbLuW2O8. The powder diffractogram is calculated, not measured: it uses a PBE+U-relaxed structure and CuKα.
Intensities are scaled so that the largest is 100.

Peak list (10 most intense, 2θ = 10–80°, in order of rising 2θ)
Position (°2θ)	Rel. int.
27.4	99
27.7	27
28.1	22
29.4	100
31.4	40
33.1	22
33.4	24
34.2	20
47.1	22
55.9	26

Structural model:
Lattice parameters (Å, degrees): 10.8989 10.4871 7.4631 90.00 130.22 90.00
Space group C2/c (No. 15)
Inequivalent atoms, fractional coordinates:
Rb: 0.0000 0.2005 0.2500 (multiplicity 4)
Lu: 0.0000 0.2229 0.7500 (multiplicity 4)
W: 0.1959 0.4948 0.7162 (multiplicity 8)
O: 0.0173 0.3879 0.9612 (multiplicity 8)
O: 0.1314 0.0909 0.6953 (multiplicity 8)
O: 0.1881 0.4326 0.4405 (multiplicity 8)
O: 0.2086 0.1553 0.1165 (multiplicity 8)

***

Record 5
Diffraction record for LiMn2OF5. The powder diffractogram is calculated, not measured: it uses a PBE+U-relaxed structure and CuKα.
Intensities are scaled so that the largest is 100.

Peak list (10 most intense, 2θ = 10–80°, in order of rising 2θ)
Position (°2θ)	Rel. int.
19.7	26
20.4	65
24.4	49
26.5	18
30.3	100
40.7	64
51.0	18
53.5	70
60.9	17
64.2	21

Structural model:
Lattice parameters (Å, degrees): 17.4619 4.6744 5.0232 90.00 90.00 90.00
Space group Pca2_1 (No. 29)
Inequivalent atoms, fractional coordinates:
Li: 0.1344 0.2460 0.0000 (multiplicity 4)
Mn: 0.0282 0.2224 0.4900 (multiplicity 4)
Mn: 0.1945 0.7442 0.4938 (multiplicity 4)
O: 0.0396 0.0050 0.1797 (multiplicity 4)
F: 0.0414 0.4857 0.8054 (multiplicity 4)
F: 0.1161 0.4623 0.3331 (multiplicity 4)
F: 0.1210 0.0168 0.6626 (multiplicity 4)
F: 0.2098 0.9736 0.1729 (multiplicity 4)
F: 0.2125 0.5234 0.8225 (multiplicity 4)

***

Record 6
Diffraction record for La2WO6. The powder diffractogram is calculated, not measured: it uses a PBE+U-relaxed structure and CuKα.
Intensities are scaled so that the largest is 100.

Peak list (10 most intense, 2θ = 10–80°, in order of rising 2θ)
Position (°2θ)	Rel. int.
18.7	15
22.5	28
24.6	56
30.2	100
32.0	22
32.0	22
44.4	25
45.9	28
47.5	13
55.9	32

Structural model:
Lattice parameters (Å, degrees): 16.7808 8.9301 5.5968 90.00 90.00 90.00
Space group Pmn2_1 (No. 31)
Inequivalent atoms, fractional coordinates:
La: 0.0000 0.0412 0.9996 (multiplicity 2)
La: 0.0000 0.7096 0.4098 (multiplicity 2)
La: 0.1601 0.0049 0.5000 (multiplicity 4)
La: 0.1812 0.3423 0.0313 (multiplicity 4)
W: 0.0000 0.2473 0.5153 (multiplicity 2)
W: 0.1682 0.7320 0.9820 (multiplicity 4)
O: 0.0000 0.0084 0.5300 (multiplicity 2)
O: 0.0000 0.4509 0.5335 (multiplicity 2)
O: 0.0805 0.2129 0.2662 (multiplicity 4)
O: 0.0843 0.2125 0.7540 (multiplicity 4)
O: 0.0955 0.8768 0.1621 (multiplicity 4)
O: 0.0990 0.7697 0.7156 (multiplicity 4)
O: 0.1099 0.5817 0.1429 (multiplicity 4)
O: 0.2304 0.5706 0.8518 (multiplicity 4)
O: 0.2419 0.7990 0.2318 (multiplicity 4)
O: 0.2449 0.8620 0.7665 (multiplicity 4)

***

Record 7
Diffraction record for Ca2Fe2Si5O15. The powder diffractogram is calculated, not measured: it uses a PBE+U-relaxed structure and CuKα.
Intensities are scaled so that the largest is 100.

Peak list (10 most intense, 2θ = 10–80°, in order of rising 2θ)
Position (°2θ)	Rel. int.
12.8	30
13.3	32
28.6	57
29.4	63
29.9	48
30.2	50
30.6	100
32.1	95
36.5	30
39.8	47

Structural model:
Lattice parameters (Å, degrees): 6.6947 7.5012 11.8736 103.48 93.14 93.79
Space group P-1 (No. 2)
Inequivalent atoms, fractional coordinates:
Ca: 0.1613 0.2832 0.4555 (multiplicity 2)
Ca: 0.2972 0.7300 0.0175 (multiplicity 2)
Fe: 0.0666 0.0911 0.1500 (multiplicity 2)
Fe: 0.1853 0.5509 0.7306 (multiplicity 2)
Si: 0.1176 0.8201 0.3359 (multiplicity 2)
Si: 0.2094 0.3058 0.9427 (multiplicity 2)
Si: 0.3166 0.4785 0.2115 (multiplicity 2)
Si: 0.3462 0.7863 0.5534 (multiplicity 2)
Si: 0.4229 0.9648 0.8130 (multiplicity 2)
O: 0.0295 0.1638 0.9695 (multiplicity 2)
O: 0.0658 0.0002 0.2882 (multiplicity 2)
O: 0.0766 0.3095 0.6470 (multiplicity 2)
O: 0.1272 0.3510 0.2435 (multiplicity 2)
O: 0.1478 0.4679 0.8827 (multiplicity 2)
O: 0.1721 0.6400 0.5852 (multiplicity 2)
O: 0.2223 0.9009 0.4683 (multiplicity 2)
O: 0.2352 0.8347 0.8467 (multiplicity 2)
O: 0.2594 0.6955 0.2401 (multiplicity 2)
O: 0.3287 0.4281 0.0664 (multiplicity 2)
O: 0.3559 0.0470 0.1223 (multiplicity 2)
O: 0.3820 0.1830 0.8764 (multiplicity 2)
O: 0.4197 0.9434 0.6751 (multiplicity 2)
O: 0.4696 0.5587 0.7389 (multiplicity 2)
O: 0.4718 0.3021 0.5091 (multiplicity 2)

***

Record 8
Diffraction record for MgV4O5F7. The powder diffractogram is calculated, not measured: it uses a PBE+U-relaxed structure and CuKα.
Intensities are scaled so that the largest is 100.

Peak list (10 most intense, 2θ = 10–80°, in order of rising 2θ)
Position (°2θ)	Rel. int.
22.9	100
23.5	91
24.7	100
32.3	24
33.4	23
39.1	26
46.8	25
48.0	24
52.0	20
55.3	28

Structural model:
Lattice parameters (Å, degrees): 5.3042 5.5617 7.2240 93.94 90.27 91.38
Space group P1 (No. 1)
Inequivalent atoms, fractional coordinates:
Mg: 0.0000 0.0000 0.0000 (multiplicity 1)
V: 0.0217 0.4406 0.8179 (multiplicity 1)
V: 0.0320 0.4117 0.3232 (multiplicity 1)
V: 0.5014 0.8930 0.7920 (multiplicity 1)
V: 0.5334 0.9000 0.2942 (multiplicity 1)
O: 0.1101 0.4067 0.5524 (multiplicity 1)
O: 0.1893 0.7341 0.8643 (multiplicity 1)
O: 0.4551 0.9002 0.5545 (multiplicity 1)
O: 0.6376 0.9083 0.0393 (multiplicity 1)
O: 0.9528 0.3764 0.0501 (multiplicity 1)
F: 0.1994 0.0850 0.2392 (multiplicity 1)
F: 0.3117 0.2013 0.8572 (multiplicity 1)
F: 0.3354 0.5912 0.2496 (multiplicity 1)
F: 0.7097 0.5888 0.7544 (multiplicity 1)
F: 0.7184 0.2193 0.3464 (multiplicity 1)
F: 0.8383 0.0996 0.7582 (multiplicity 1)
F: 0.8555 0.7115 0.3361 (multiplicity 1)

***

Record 9
Diffraction record for Sr3Pr3Mn2Cu2O13. The powder diffractogram is calculated, not measured: it uses a PBE+U-relaxed structure and CuKα.
Intensities are scaled so that the largest is 100.

Peak list (10 most intense, 2θ = 10–80°, in order of rising 2θ)
Position (°2θ)	Rel. int.
26.5	14
31.9	100
32.8	64
42.5	23
46.5	10
47.0	37
58.0	37
66.7	11
68.7	11
78.3	10

Structural model:
Lattice parameters (Å, degrees): 5.4665 5.4605 20.3755 90.00 90.00 90.00
Space group Amm2 (No. 38)
Inequivalent atoms, fractional coordinates:
Sr: 0.0000 0.0000 0.0000 (multiplicity 2)
Sr: 0.0000 0.0000 0.1800 (multiplicity 2)
Sr: 0.5000 0.0000 0.6814 (multiplicity 2)
Pr: 0.0000 0.0000 0.3633 (multiplicity 2)
Pr: 0.5000 0.0000 0.5046 (multiplicity 2)
Pr: 0.5000 0.0000 0.8623 (multiplicity 2)
Mn: 0.0000 0.0000 0.5883 (multiplicity 2)
Mn: 0.0000 0.0000 0.7773 (multiplicity 2)
Cu: 0.5000 0.0000 0.0840 (multiplicity 2)
Cu: 0.5000 0.0000 0.2797 (multiplicity 2)
O: 0.0000 0.0000 0.4811 (multiplicity 2)
O: 0.0000 0.0000 0.6847 (multiplicity 2)
O: 0.0000 0.0000 0.8771 (multiplicity 2)
O: 0.2491 0.2471 0.2806 (multiplicity 8)
O: 0.2562 0.2482 0.5888 (multiplicity 8)
O: 0.5000 0.0000 0.3913 (multiplicity 2)
O: 0.5000 0.0000 0.9733 (multiplicity 2)